The following is a theoretical PXRD pattern of Ce3Cd4In4. It was derived from a GGA-PBE-relaxed structure, using a wavelength of 1.5418 Å.
Lines closer than 0.1° are merged.

Main lines, in order of falling intensity (5° ≤ 2θ ≤ 70°):
(3 1 1), 32.61 deg, intensity 100; (10 0 1), 36.26 deg, intensity 82; (7 1 0), 31.93 deg, intensity 52; (2 0 -2), 35.50 deg, intensity 47; (5 1 2), 48.48 deg, intensity 32; (10 2 1), 63.92 deg, intensity 30

Atomic structure:
Cell lengths 31.657, 3.601, 5.058 Å; angles 90.00, 99.13, 90.00 degrees
Space group C2/m (No. 12)
One atom of each set of equivalent atoms:
1 Ce 0.000 0.000 0.000 (multiplicity 2)
2 Ce 0.140 0.000 0.640 (multiplicity 4)
3 Cd 0.092 0.500 0.092 (multiplicity 4)
4 Cd 0.235 0.500 0.735 (multiplicity 4)
5 In 0.047 0.500 0.547 (multiplicity 4)
6 In 0.185 0.500 0.184 (multiplicity 4)